Entry 1:
For WAu8, DFT lattice parameters and positions (GGA-PBE) gives the theoretical powder diffraction line list in this record (Cu Kα (λ = 1.5418 Å)).
Peak positions follow from Bragg's law for the DFT cell and can differ from measured ones.

Largest 8 diffraction maxima, in order of rising 2θ, 15 to 90 degrees two-theta:
2θ 35.86, d = 2.504 Å, I 690; 2θ 40.42, d = 2.232 Å, I 1000; 2θ 51.62, d = 1.771 Å, I 247; 2θ 67.53, d = 1.387 Å, I 445; 2θ 76.42, d = 1.246 Å, I 160; 2θ 87.02, d = 1.120 Å, I 117; 2θ 87.40, d = 1.116 Å, I 118; 2θ 89.83, d = 1.092 Å, I 111

a b c (Å): 7.648 7.648 7.648
angles (deg): 92.02 92.02 158.34
Sites, in units of the cell vectors:
W1 0.000 0.000 0.000
Au1 0.000 0.334 0.334
Au2 0.000 0.666 0.666
Au3 0.334 0.000 0.334
Au4 0.337 0.337 0.674
Au5 0.337 0.663 0.000
Au6 0.663 0.337 0.000
Au7 0.663 0.663 0.326
Au8 0.666 0.000 0.666

***

Entry 2:
For LiMg14Ga, DFT lattice parameters and positions (GGA-PBE) gives the theoretical powder diffraction line list in this record (Cu Kα (λ = 1.5418 Å)).
Peak positions follow from Bragg's law for the DFT cell and can differ from measured ones.

Largest 8 diffraction maxima, in order of rising 2θ, 15 to 90 degrees two-theta:
2θ 18.40, d = 4.821 Å, I 194; 2θ 32.78, d = 2.732 Å, I 242; 2θ 35.05, d = 2.560 Å, I 264; 2θ 37.31, d = 2.410 Å, I 1000; 2θ 48.75, d = 1.868 Å, I 152; 2θ 58.52, d = 1.577 Å, I 170; 2θ 64.37, d = 1.447 Å, I 188; 2θ 70.07, d = 1.343 Å, I 191

a b c (Å): 6.309 6.309 10.239
angles (deg): 90.00 90.00 120.00
Sites, in units of the cell vectors:
Li1 0.000 0.000 0.000
Mg1 0.001 0.501 0.000
Mg2 0.165 0.330 0.253
Mg3 0.165 0.330 0.747
Mg4 0.165 0.835 0.253
Mg5 0.165 0.835 0.747
Mg6 0.499 0.501 0.000
Mg7 0.499 0.999 0.000
Mg8 0.501 0.002 0.500
Mg9 0.501 0.499 0.500
Mg10 0.667 0.333 0.249
Mg11 0.667 0.333 0.751
Mg12 0.670 0.835 0.253
Mg13 0.670 0.835 0.747
Mg14 0.998 0.499 0.500
Ga1 0.000 0.000 0.500

***

Entry 3:
For Na6HgSe4, DFT lattice parameters and positions (GGA-PBE) gives the theoretical powder diffraction line list in this record (Cu Kα (λ = 1.5418 Å)).
Peak positions follow from Bragg's law for the DFT cell and can differ from measured ones.

Largest 8 diffraction maxima, in order of rising 2θ, 15 to 90 degrees two-theta:
2θ 20.34, d = 4.367 Å, I 330; 2θ 23.09, d = 3.851 Å, I 500; 2θ 23.40, d = 3.801 Å, I 576; 2θ 29.94, d = 2.984 Å, I 458; 2θ 33.11, d = 2.705 Å, I 1000; 2θ 37.69, d = 2.387 Å, I 414; 2θ 41.98, d = 2.152 Å, I 525; 2θ 44.84, d = 2.021 Å, I 432

a b c (Å): 8.996 8.996 8.996
angles (deg): 152.30 64.64 122.89
Sites, in units of the cell vectors:
Na1 0.121 0.000 0.121
Na2 0.190 0.830 0.360
Na3 0.469 0.830 0.640
Na4 0.523 0.212 0.311
Na5 0.879 0.000 0.879
Na6 0.901 0.212 0.689
Hg1 0.575 0.575 0.000
Se1 0.273 0.273 0.000
Se2 0.277 0.526 0.751
Se3 0.771 0.271 0.500
Se4 0.775 0.526 0.249